Record 1
Structure and computed X-ray powder pattern of Li9Mn2Co5O16 (a PBE+U-relaxed structure; CuKα).

Structural model:
```
32
Lattice="5.904 0.000 0.000 1.484 6.302 0.000 1.874 -0.122 7.634" Properties=species:S:1:pos:R:3 pbc="T T T"
Li 0.000 0.000 0.000
Li 1.472 2.341 0.926
Li 3.259 5.441 4.863
Li 4.703 3.903 6.697
Li 3.106 0.719 2.843
Li 6.155 5.462 4.790
Li 4.558 2.277 0.937
Li 6.002 0.739 2.771
Li 7.789 3.839 6.708
Mn 3.252 1.483 5.757
Mn 6.009 4.698 1.877
Co 1.679 3.090 3.817
Co 3.014 4.692 1.867
Co 2.952 0.000 0.000
Co 4.631 3.090 3.817
Co 6.247 1.488 5.766
O 1.419 4.343 0.566
O 1.796 1.217 4.454
O 3.303 3.380 5.188
O 1.635 0.215 1.437
O 2.967 2.866 2.444
O 4.810 5.937 6.206
O 4.743 1.820 6.998
O 4.677 4.927 3.312
O 4.585 1.254 4.321
O 4.518 4.361 0.636
O 4.451 0.244 1.428
O 6.294 3.314 5.190
O 7.626 5.966 6.196
O 5.958 2.801 2.446
O 7.465 4.964 3.180
O 7.842 1.838 7.068
```

Principal peaks in the range 10 to 90 degrees two-theta, by angle:
- 2θ = 18.4°, d 4.822, rel. 100
- 2θ = 35.1°, d 2.559, rel. 17
- 2θ = 36.7°, d 2.451, rel. 24
- 2θ = 42.2°, d 2.143, rel. 30
- 2θ = 44.5°, d 2.035, rel. 51
- 2θ = 47.7°, d 1.908, rel. 9
- 2θ = 58.6°, d 1.576, rel. 9
- 2θ = 62.9°, d 1.478, rel. 15
- 2θ = 63.1°, d 1.474, rel. 8
- 2θ = 63.1°, d 1.472, rel. 7

***

Record 2
Structure and computed X-ray powder pattern of Ag3Mo3AsO13 (a PBE+U-relaxed structure; CuKα).

Structural model:
```
40
Lattice="8.185 0.000 0.000 -2.258 8.059 0.000 -1.548 -4.580 8.600" Properties=species:S:1:pos:R:3 pbc="T T T"
Ag -0.145 2.546 0.501
Ag 0.074 1.818 4.603
Ag 0.303 1.058 7.911
Ag 4.076 2.422 0.688
Ag 4.305 1.662 3.997
Ag 4.524 0.934 8.098
Mo -2.309 4.249 6.298
Mo 1.875 -0.455 2.201
Mo 2.518 -1.244 5.518
Mo 1.862 4.724 3.081
Mo 2.505 3.935 6.398
Mo 6.688 -0.770 2.302
As -1.711 4.312 2.849
As 6.090 -0.832 5.750
O -1.161 -0.210 4.455
O -1.687 -0.162 7.274
O -1.909 6.041 2.780
O 0.118 0.376 2.129
O -0.019 -3.090 7.913
O -1.146 2.951 6.389
O -0.200 6.816 0.650
O -0.055 3.826 3.177
O 1.012 -2.382 5.477
O 1.815 0.118 4.564
O 3.012 -1.659 3.241
O 1.962 4.301 1.369
O 2.819 1.028 2.036
O 1.560 2.452 6.563
O 2.417 -0.821 7.230
O 1.367 5.139 5.358
O 2.564 3.362 4.035
O 3.367 5.861 3.123
O 4.434 -0.346 5.422
O 4.579 -3.336 7.950
O 5.525 0.529 2.211
O 4.399 6.570 0.686
O 4.261 3.104 6.471
O 6.288 -2.561 5.820
O 6.067 3.641 1.326
O 5.541 3.689 4.145
```

Principal peaks in the range 10 to 90 degrees two-theta, by angle:
- 2θ = 27.4°, d 3.250, rel. 79
- 2θ = 27.9°, d 3.199, rel. 100
- 2θ = 28.9°, d 3.093, rel. 81
- 2θ = 29.4°, d 3.035, rel. 66
- 2θ = 31.5°, d 2.843, rel. 47
- 2θ = 33.1°, d 2.707, rel. 37
- 2θ = 34.2°, d 2.624, rel. 28
- 2θ = 44.3°, d 2.044, rel. 20
- 2θ = 47.1°, d 1.931, rel. 19
- 2θ = 48.9°, d 1.861, rel. 18

***

Record 3
Structure and computed X-ray powder pattern of WBr4O (a PBE+U-relaxed structure; CuKα).

Structural model:
```
12
Lattice="9.829 0.000 0.000 0.000 9.829 0.000 0.000 0.000 3.912" Properties=species:S:1:pos:R:3 pbc="T T T"
W 0.000 0.000 0.000
W 4.915 4.915 1.956
Br 0.620 7.444 3.668
Br 2.386 0.620 3.668
Br 2.529 4.295 1.712
Br 4.295 7.300 1.712
Br 5.535 2.529 1.712
Br 7.300 5.535 1.712
Br 7.444 9.209 3.668
Br 9.209 2.386 3.668
O 0.000 0.000 1.777
O 4.915 4.915 3.733
```

Principal peaks in the range 10 to 90 degrees two-theta, by angle:
- 2θ = 12.7°, d 6.950, rel. 100
- 2θ = 18.0°, d 4.915, rel. 23
- 2θ = 24.5°, d 3.634, rel. 99
- 2θ = 28.7°, d 3.108, rel. 52
- 2θ = 36.6°, d 2.457, rel. 22
- 2θ = 41.1°, d 2.198, rel. 25
- 2θ = 44.5°, d 2.036, rel. 50
- 2θ = 52.1°, d 1.756, rel. 20
- 2θ = 55.5°, d 1.655, rel. 32
- 2θ = 74.3°, d 1.277, rel. 19

***

Record 4
Structure and computed X-ray powder pattern of KCe2FeO5 (a PBE+U-relaxed structure; CuKα).

Structural model:
```
36
Lattice="11.042 0.000 0.000 0.000 9.200 0.000 0.000 0.000 5.959" Properties=species:S:1:pos:R:3 pbc="T T T"
K 1.617 0.030 0.000
K 3.903 4.630 2.979
K 7.138 4.570 0.000
K 9.424 9.170 2.979
Ce 1.265 4.591 5.944
Ce 1.560 7.250 2.875
Ce 3.961 2.649 5.855
Ce 4.256 9.191 2.964
Ce 6.786 0.009 5.944
Ce 7.081 6.551 2.875
Ce 9.482 1.951 5.855
Ce 9.776 4.609 2.964
Fe 1.241 2.254 3.022
Fe 4.280 6.854 0.043
Fe 6.761 2.346 3.022
Fe 9.801 6.946 0.043
O 0.671 6.641 0.813
O 0.782 5.307 3.774
O 1.426 0.210 2.810
O 2.105 2.773 4.758
O 2.269 3.083 1.500
O 3.252 7.683 4.479
O 3.415 7.373 1.779
O 4.095 4.810 5.789
O 4.739 0.707 0.794
O 4.850 2.041 3.792
O 6.192 7.159 0.813
O 6.303 8.493 3.774
O 6.947 4.390 2.810
O 7.626 1.827 4.758
O 7.789 1.517 1.500
O 8.773 6.117 4.479
O 8.936 6.428 1.779
O 9.616 8.990 5.789
O 10.260 3.893 0.794
O 10.370 2.559 3.792
```

Principal peaks in the range 10 to 90 degrees two-theta, by angle:
- 2θ = 12.5°, d 7.068, rel. 15
- 2θ = 19.5°, d 4.556, rel. 24
- 2θ = 29.4°, d 3.040, rel. 100
- 2θ = 30.0°, d 2.979, rel. 28
- 2θ = 30.2°, d 2.961, rel. 19
- 2θ = 32.4°, d 2.760, rel. 24
- 2θ = 39.2°, d 2.300, rel. 12
- 2θ = 44.8°, d 2.025, rel. 20
- 2θ = 52.9°, d 1.732, rel. 23
- 2θ = 56.0°, d 1.642, rel. 14

***

Record 5
Structure and computed X-ray powder pattern of CaLaCr2O6 (a PBE+U-relaxed structure; CuKα).

Structural model:
```
20
Lattice="5.471 0.000 0.000 0.000 5.538 0.000 -5.467 0.000 7.682" Properties=species:S:1:pos:R:3 pbc="T T T"
Ca 0.000 1.150 0.000
Ca -2.733 4.388 3.841
La -0.098 1.564 3.835
La -2.831 3.975 7.676
Cr -2.791 1.382 5.761
Cr -0.057 4.156 1.920
Cr 2.677 1.386 1.910
Cr -0.056 4.152 5.751
O -1.220 0.176 2.212
O -3.953 5.363 6.054
O 1.073 2.574 1.598
O -1.661 2.964 5.439
O -1.265 0.200 5.462
O 1.468 5.338 1.621
O -2.346 1.481 7.633
O 0.388 4.057 3.792
O 2.286 1.269 3.877
O 5.019 4.269 0.036
O 1.134 2.538 6.079
O 3.867 3.000 2.238
```

Principal peaks in the range 10 to 90 degrees two-theta, by angle:
- 2θ = 19.8°, d 4.493, rel. 19
- 2θ = 19.9°, d 4.456, rel. 19
- 2θ = 32.3°, d 2.769, rel. 20
- 2θ = 32.8°, d 2.734, rel. 100
- 2θ = 38.5°, d 2.336, rel. 9
- 2θ = 46.7°, d 1.946, rel. 26
- 2θ = 47.3°, d 1.921, rel. 13
- 2θ = 57.9°, d 1.592, rel. 13
- 2θ = 58.5°, d 1.579, rel. 26
- 2θ = 68.7°, d 1.367, rel. 16